(1)
# Pr4SnSb2Se
Computed XRD peak list, λ = 1.5418 Å (Cu Kα). Input: a GGA-PBE-relaxed structure.
No peak broadening, texture or thermal motion is included.

Structure:
```
data_Pr4SnSb2Se
_chemical_formula_sum 'Pr4 Sn1 Sb2 Se1'
_space_group_name_H-M_alt 'P 1 2/m 1'
_space_group_IT_number 10
_cell_length_a 7.7905
_cell_length_b 4.4816
_cell_length_c 7.7984
_cell_angle_alpha 90.00
_cell_angle_beta 109.36
_cell_angle_gamma 90.00
loop_
_space_group_symop_operation_xyz
'x,y,z'
'-x,-y,-z'
'-x,y,-z'
'x,-y,z'
loop_
_atom_site_label
_atom_site_fract_x
_atom_site_fract_y
_atom_site_fract_z
Pr1 0.2450 0.0000 0.2469
Pr2 0.2469 0.5000 0.7532
Sn1 0.0000 0.0000 0.5000
Sb1 0.5000 0.0000 0.0000
Sb2 0.5000 0.5000 0.5000
Se1 0.0000 0.5000 0.0000
```

Principal peaks in the range 10 to 90 degrees two-theta, by angle:
d [Å], I/Imax, index
3.178, 100, 1 1 1
2.250, 38, 2 0 2
2.247, 25, 3 1 -1
2.241, 13, 0 2 0
1.838, 14, 0 0 4
1.832, 14, 2 2 -2
1.589, 13, 2 2 2
1.424, 6, 3 1 3
1.422, 24, 0 2 4
1.418, 6, 1 3 1
1.300, 11, 1 1 5
1.296, 9, 1 3 -3

(2)
# PrYSbSe
Computed XRD peak list, λ = 1.5418 Å (Cu Kα). Input: a GGA-PBE-relaxed structure.
No peak broadening, texture or thermal motion is included.

Structure:
```
data_PrYSbSe
_chemical_formula_sum 'Pr1 Y1 Sb1 Se1'
_space_group_name_H-M_alt 'P 4/m m m'
_space_group_IT_number 123
_space_group_name_Hall '-P 4 2'
_cell_length_a 4.3733
_cell_length_b 4.3733
_cell_length_c 6.0909
_cell_angle_alpha 90.00
_cell_angle_beta 90.00
_cell_angle_gamma 90.00
loop_
_atom_site_label
_atom_site_fract_x
_atom_site_fract_y
_atom_site_fract_z
Pr1 0.0000 0.0000 0.0000
Y1 0.5000 0.5000 0.5000
Sb1 0.5000 0.5000 0.0000
Se1 0.0000 0.0000 0.5000
```

Principal peaks in the range 10 to 90 degrees two-theta, by angle:
d [Å], I/Imax, index
6.091, 11, 0 0 1
3.092, 100, 1 1 0
3.045, 48, 0 0 2
2.187, 38, 2 0 0
2.170, 73, 1 1 2
1.776, 39, 2 0 2
1.546, 12, 2 2 0
1.383, 17, 3 1 0
1.379, 17, 2 2 2
1.366, 16, 1 1 4
1.259, 25, 3 1 2
1.250, 12, 2 0 4

(3)
# Pr3SiSb
Computed XRD peak list, λ = 1.5418 Å (Cu Kα). Input: a GGA-PBE-relaxed structure.
No peak broadening, texture or thermal motion is included.

Structure:
```
data_Pr3SiSb
_chemical_formula_sum 'Pr12 Si4 Sb4'
_space_group_name_H-M_alt 'P 1 21/c 1'
_space_group_IT_number 14
_cell_length_a 11.1969
_cell_length_b 6.2912
_cell_length_c 8.8949
_cell_angle_alpha 90.00
_cell_angle_beta 102.29
_cell_angle_gamma 90.00
loop_
_space_group_symop_operation_xyz
'x,y,z'
'-x,-y,-z'
'-x,y+1/2,-z+1/2'
'x,-y+1/2,z+1/2'
loop_
_atom_site_label
_atom_site_fract_x
_atom_site_fract_y
_atom_site_fract_z
Pr1 0.0021 0.0040 0.2543
Pr2 0.2733 0.2409 0.5852
Pr3 0.3756 0.6765 0.3391
Si1 0.4552 0.1292 0.3918
Sb1 0.1663 0.7373 0.5409
```

Principal peaks in the range 10 to 90 degrees two-theta, by angle:
d [Å], I/Imax, index
3.581, 40, 0 1 2
3.155, 30, 3 1 0
3.143, 100, 3 0 -2
3.097, 58, 2 0 2
3.023, 17, 1 2 0
2.809, 40, 3 1 -2
2.778, 38, 2 1 2
2.727, 54, 2 2 0
2.551, 74, 1 2 -2
2.383, 15, 3 2 0
2.223, 46, 1 0 -4
2.067, 22, 5 1 0

(4)
# Pr6SiSb2Te3
Computed XRD peak list, λ = 1.5418 Å (Cu Kα). Input: a GGA-PBE-relaxed structure.
No peak broadening, texture or thermal motion is included.

Structure:
```
data_Pr6SiSb2Te3
_chemical_formula_sum 'Pr12 Si2 Sb4 Te6'
_space_group_name_H-M_alt 'C 1 2/m 1'
_space_group_IT_number 12
_cell_length_a 19.7518
_cell_length_b 4.4938
_cell_length_c 9.0821
_cell_angle_alpha 90.00
_cell_angle_beta 103.68
_cell_angle_gamma 90.00
loop_
_space_group_symop_operation_xyz
'x,y,z'
'-x,-y,-z'
'-x,y,-z'
'x,-y,z'
'x+1/2,y+1/2,z'
'-x+1/2,-y+1/2,-z'
'-x+1/2,y+1/2,-z'
'x+1/2,-y+1/2,z'
loop_
_atom_site_label
_atom_site_fract_x
_atom_site_fract_y
_atom_site_fract_z
Pr1 0.0002 0.0000 0.2266
Pr2 0.1556 0.5000 0.0818
Pr3 0.1676 0.5000 0.5781
Si1 0.0000 0.5000 0.0000
Sb1 0.1663 0.0000 0.3330
Te1 0.0000 0.5000 0.5000
Te2 0.1699 0.0000 0.8347
```

Principal peaks in the range 10 to 90 degrees two-theta, by angle:
d [Å], I/Imax, index
3.196, 100, 1 1 -2
2.267, 37, 7 1 -2
2.255, 25, 5 1 2
2.247, 13, 0 2 0
1.857, 6, 8 0 -4
1.846, 6, 4 0 4
1.839, 13, 6 2 0
1.597, 8, 2 2 -4
1.432, 10, 8 2 -4
1.427, 11, 4 2 4
1.423, 6, 1 3 -2
1.303, 6, 12 2 0

(5)
# Pr5SmSb5
Computed XRD peak list, λ = 1.5418 Å (Cu Kα). Input: a GGA-PBE-relaxed structure.
No peak broadening, texture or thermal motion is included.

Structure:
```
data_Pr5SmSb5
_chemical_formula_sum 'Pr10 Sm2 Sb10'
_space_group_name_H-M_alt 'C 1 2/m 1'
_space_group_IT_number 12
_cell_length_a 14.2325
_cell_length_b 6.3800
_cell_length_c 9.0052
_cell_angle_alpha 90.00
_cell_angle_beta 108.54
_cell_angle_gamma 90.00
loop_
_space_group_symop_operation_xyz
'x,y,z'
'-x,-y,-z'
'-x,y,-z'
'x,-y,z'
'x+1/2,y+1/2,z'
'-x+1/2,-y+1/2,-z'
'-x+1/2,y+1/2,-z'
'x+1/2,-y+1/2,z'
loop_
_atom_site_label
_atom_site_fract_x
_atom_site_fract_y
_atom_site_fract_z
Pr1 0.0000 0.0000 0.0000
Pr2 0.1660 0.5000 0.3340
Pr3 0.1698 0.5000 0.8320
Sm1 0.0000 0.0000 0.5000
Sb1 0.0000 0.5000 0.5000
Sb2 0.1662 0.0000 0.3342
Sb3 0.1655 0.0000 0.8325
```

Principal peaks in the range 10 to 90 degrees two-theta, by angle:
d [Å], I/Imax, index
3.677, 6, 1 1 -2
3.185, 100, 2 0 2
2.252, 77, 2 2 2
1.839, 27, 6 2 0
1.595, 4, 0 4 0
1.592, 4, 8 0 -4
1.590, 4, 4 0 4
1.425, 21, 2 4 2
1.423, 15, 4 2 4
1.301, 13, 6 4 0
1.299, 13, 0 2 6
1.126, 6, 4 4 4

(6)
# PrSm3Sb3
Computed XRD peak list, λ = 1.5418 Å (Cu Kα). Input: a GGA-PBE-relaxed structure.
No peak broadening, texture or thermal motion is included.

Structure:
```
data_PrSm3Sb3
_chemical_formula_sum 'Pr4 Sm12 Sb12'
_space_group_name_H-M_alt 'P 21 3'
_space_group_IT_number 198
_space_group_name_Hall 'P 2ac 2ab 3'
_cell_length_a 9.4455
_cell_length_b 9.4455
_cell_length_c 9.4455
_cell_angle_alpha 90.00
_cell_angle_beta 90.00
_cell_angle_gamma 90.00
loop_
_atom_site_label
_atom_site_fract_x
_atom_site_fract_y
_atom_site_fract_z
Pr1 0.0700 0.4300 0.5700
Sm1 0.0726 0.5726 0.9274
Sm2 0.1804 0.1804 0.1804
Sm3 0.1796 0.8204 0.3204
Sb1 0.0008 0.2532 0.8772
```

Principal peaks in the range 10 to 90 degrees two-theta, by angle:
d [Å], I/Imax, index
2.987, 100, 3 1 0
2.524, 66, 3 2 1
2.112, 10, 4 2 0
2.014, 9, 3 3 2
1.928, 17, 4 2 2
1.852, 24, 4 1 3
1.532, 25, 6 1 1
1.493, 12, 6 2 0
1.457, 14, 5 1 4
1.363, 6, 4 4 4
1.285, 15, 7 1 2
1.098, 11, 7 5 0

(7)
# PrSmSb
Computed XRD peak list, λ = 1.5418 Å (Cu Kα). Input: a GGA-PBE-relaxed structure.
No peak broadening, texture or thermal motion is included.

Structure:
```
data_PrSmSb
_chemical_formula_sum 'Pr2 Sm2 Sb2'
_space_group_name_H-M_alt 'P 4/n m m'
_space_group_IT_number 129
_cell_length_a 4.1657
_cell_length_b 4.1657
_cell_length_c 10.2287
_cell_angle_alpha 90.00
_cell_angle_beta 90.00
_cell_angle_gamma 90.00
loop_
_space_group_symop_operation_xyz
'x,y,z'
'-x,-y,-z'
'-y+1/2,x,z'
'y+1/2,-x,-z'
'-x+1/2,-y+1/2,z'
'x+1/2,y+1/2,-z'
'y,-x+1/2,z'
'-y,x+1/2,-z'
'x+1/2,-y,-z'
'-x+1/2,y,z'
'-y,-x,-z'
'y,x,z'
'-x,y+1/2,-z'
'x,-y+1/2,z'
'y+1/2,x+1/2,-z'
'-y+1/2,-x+1/2,z'
loop_
_atom_site_label
_atom_site_fract_x
_atom_site_fract_y
_atom_site_fract_z
Pr1 0.2500 0.2500 0.0985
Sm1 0.2500 0.2500 0.4046
Sb1 0.2500 0.2500 0.7424
```

Principal peaks in the range 10 to 90 degrees two-theta, by angle:
d [Å], I/Imax, index
2.946, 71, 1 1 0
2.638, 100, 1 0 3
2.083, 27, 2 0 0
1.705, 6, 0 0 6
1.635, 47, 2 1 3
1.475, 14, 1 1 6
1.473, 9, 2 2 0
1.319, 10, 2 0 6
1.317, 12, 3 1 0
1.286, 10, 3 0 3
1.114, 6, 2 2 6
1.094, 13, 3 2 3

(8)
# Pr8SmSb6
Computed XRD peak list, λ = 1.5418 Å (Cu Kα). Input: a GGA-PBE-relaxed structure.
No peak broadening, texture or thermal motion is included.

Structure:
```
data_Pr8SmSb6
_chemical_formula_sum 'Pr24 Sm3 Sb18'
_space_group_name_H-M_alt 'R -3'
_space_group_IT_number 148
_space_group_name_Hall '-R 3'
_cell_length_a 8.3030
_cell_length_b 8.3030
_cell_length_c 25.9039
_cell_angle_alpha 90.00
_cell_angle_beta 90.00
_cell_angle_gamma 120.00
loop_
_atom_site_label
_atom_site_fract_x
_atom_site_fract_y
_atom_site_fract_z
Pr1 0.0000 0.0000 0.1667
Pr2 0.0007 0.3365 0.3786
Sm1 0.0000 0.0000 0.5000
Sb1 0.0004 0.3298 0.5669
```

Principal peaks in the range 10 to 90 degrees two-theta, by angle:
d [Å], I/Imax, index
4.151, 8, 1 1 0
3.742, 36, 2 -1 3
2.992, 100, 2 -1 6
2.397, 60, 3 0 0
2.365, 21, 1 1 9
1.915, 18, 1 1 12
1.871, 26, 2 2 6
1.475, 23, 5 -1 6
1.401, 13, 3 0 15
1.384, 10, 3 3 0
1.269, 9, 4 1 12
1.113, 10, 5 2 6

(9)
# Pr4SnSb
Computed XRD peak list, λ = 1.5418 Å (Cu Kα). Input: a GGA-PBE-relaxed structure.
No peak broadening, texture or thermal motion is included.

Structure:
```
data_Pr4SnSb
_chemical_formula_sum 'Pr8 Sn2 Sb2'
_space_group_name_H-M_alt 'C 1 2/m 1'
_space_group_IT_number 12
_cell_length_a 7.8110
_cell_length_b 5.6498
_cell_length_c 9.0364
_cell_angle_alpha 90.00
_cell_angle_beta 91.72
_cell_angle_gamma 90.00
loop_
_space_group_symop_operation_xyz
'x,y,z'
'-x,-y,-z'
'-x,y,-z'
'x,-y,z'
'x+1/2,y+1/2,z'
'-x+1/2,-y+1/2,-z'
'-x+1/2,y+1/2,-z'
'x+1/2,-y+1/2,z'
loop_
_atom_site_label
_atom_site_fract_x
_atom_site_fract_y
_atom_site_fract_z
Pr1 0.1292 0.0000 0.3561
Pr2 0.1433 0.5000 0.1483
Sn1 0.0000 0.5000 0.5000
Sb1 0.0000 0.0000 0.0000
```

Principal peaks in the range 10 to 90 degrees two-theta, by angle:
d [Å], I/Imax, index
3.623, 50, 2 0 -1
3.545, 62, 2 0 1
3.243, 73, 1 1 -2
3.187, 73, 1 1 2
2.825, 100, 0 2 0
2.536, 80, 1 1 -3
2.495, 72, 1 1 3
2.302, 57, 3 1 -1
2.272, 38, 3 1 1
2.228, 27, 2 2 -1
2.209, 34, 2 2 1
1.500, 34, 4 0 -4

(10)
# Pr4Sn5Sb
Computed XRD peak list, λ = 1.5418 Å (Cu Kα). Input: a GGA-PBE-relaxed structure.
No peak broadening, texture or thermal motion is included.

Structure:
```
data_Pr4Sn5Sb
_chemical_formula_sum 'Pr8 Sn10 Sb2'
_space_group_name_H-M_alt 'P m m n'
_space_group_IT_number 59
_cell_length_a 11.1836
_cell_length_b 12.2086
_cell_length_c 4.5520
_cell_angle_alpha 90.00
_cell_angle_beta 90.00
_cell_angle_gamma 90.00
loop_
_space_group_symop_operation_xyz
'x,y,z'
'-x,-y,-z'
'-x+1/2,-y+1/2,z'
'x+1/2,y+1/2,-z'
'x+1/2,-y,-z'
'-x+1/2,y,z'
'-x,y+1/2,-z'
'x,-y+1/2,z'
loop_
_atom_site_label
_atom_site_fract_x
_atom_site_fract_y
_atom_site_fract_z
Pr1 0.0457 0.2500 0.2495
Pr2 0.2500 0.5006 0.7503
Sn1 0.0547 0.5672 0.2502
Sn2 0.2500 0.2500 0.7492
Sb1 0.2500 0.7500 0.7473
```

Principal peaks in the range 10 to 90 degrees two-theta, by angle:
d [Å], I/Imax, index
4.216, 16, 1 0 1
3.052, 25, 0 4 0
3.034, 47, 0 3 1
2.884, 100, 3 0 1
2.796, 19, 4 0 0
2.749, 24, 3 3 0
2.667, 43, 2 3 1
2.472, 21, 1 4 1
2.276, 32, 0 0 2
2.096, 29, 3 4 1
1.960, 14, 5 3 0
1.486, 15, 5 3 2

(11)
# Sr5PrSb4
Computed XRD peak list, λ = 1.5418 Å (Cu Kα). Input: a GGA-PBE-relaxed structure.
No peak broadening, texture or thermal motion is included.

Structure:
```
data_Sr5PrSb4
_chemical_formula_sum 'Sr10 Pr2 Sb8'
_space_group_name_H-M_alt 'I m m m'
_space_group_IT_number 71
_space_group_name_Hall '-I 2 2'
_cell_length_a 4.9042
_cell_length_b 8.8274
_cell_length_c 19.1407
_cell_angle_alpha 90.00
_cell_angle_beta 90.00
_cell_angle_gamma 90.00
loop_
_atom_site_label
_atom_site_fract_x
_atom_site_fract_y
_atom_site_fract_z
Sr1 0.0000 0.0000 0.0000
Sr2 0.0000 0.2420 0.3327
Pr1 0.0000 0.5000 0.0000
Sb1 0.0000 0.2461 0.5000
Sb2 0.0000 0.5000 0.1948
```

Principal peaks in the range 10 to 90 degrees two-theta, by angle:
d [Å], I/Imax, index
8.016, 17, 0 1 1
4.785, 14, 0 0 4
4.287, 14, 1 1 0
3.234, 100, 1 2 1
3.190, 41, 0 0 6
2.491, 71, 1 2 5
2.452, 24, 2 0 0
2.207, 18, 0 4 0
1.944, 19, 2 0 6
1.815, 15, 0 4 6
1.640, 14, 2 4 0
1.459, 14, 2 4 6

(12)
# Tb2PrSb
Computed XRD peak list, λ = 1.5418 Å (Cu Kα). Input: a GGA-PBE-relaxed structure.
No peak broadening, texture or thermal motion is included.

Structure:
```
data_Tb2PrSb
_chemical_formula_sum 'Tb8 Pr4 Sb4'
_space_group_name_H-M_alt 'C m c m'
_space_group_IT_number 63
_space_group_name_Hall '-C 2c 2'
_cell_length_a 4.1428
_cell_length_b 12.4141
_cell_length_c 9.7553
_cell_angle_alpha 90.00
_cell_angle_beta 90.00
_cell_angle_gamma 90.00
loop_
_atom_site_label
_atom_site_fract_x
_atom_site_fract_y
_atom_site_fract_z
Tb1 0.0000 0.1385 0.0407
Pr1 0.0000 0.4429 0.2500
Sb1 0.0000 0.2645 0.7500
```

Principal peaks in the range 10 to 90 degrees two-theta, by angle:
d [Å], I/Imax, index
3.060, 100, 1 1 2
2.957, 20, 0 4 1
2.928, 40, 1 3 0
2.880, 34, 0 2 3
2.804, 61, 1 3 1
2.618, 49, 0 4 2
2.507, 55, 1 1 3
2.439, 24, 0 0 4
2.071, 28, 2 0 0
1.682, 14, 2 2 3
1.630, 19, 1 7 0
1.624, 48, 1 3 5